# 1
For SrSmCl2F2, the PBE geometry in Alexandria gives the computed PXRD pattern in this record (Cu Kα (λ = 1.5418 Å)).

Cell: 4.0037 4.0037 7.2098 Å, 90.00 90.00 90.00°
Positions (direct):
Sr 0.0000 0.0000 0.0000
Sm 0.5000 0.5000 0.4303
Cl 0.0000 0.0000 0.5468
Cl 0.5000 0.5000 0.8321
F 0.0000 0.5000 0.2014
F 0.5000 0.0000 0.2014

Main lines, in order of rising 2θ (15 to 90 degrees two-theta):
24.7 deg, 3.605 Å, intensity 33; 25.4 deg, 3.500 Å, intensity 100; 31.6 deg, 2.831 Å, intensity 69; 33.4 deg, 2.679 Å, intensity 47; 40.5 deg, 2.227 Å, intensity 70; 43.9 deg, 2.061 Å, intensity 37; 45.3 deg, 2.002 Å, intensity 41; 52.7 deg, 1.738 Å, intensity 29; 57.5 deg, 1.604 Å, intensity 19; 64.9 deg, 1.436 Å, intensity 23



# 2
For TlGe3Cl12, the PBE geometry in Alexandria gives the computed PXRD pattern in this record (Cu Kα (λ = 1.5418 Å)).

Cell: 13.4783 13.4783 8.0181 Å, 90.00 90.00 120.00°
Positions (direct):
Tl 0.3333 0.6667 0.2500
Tl 0.6667 0.3333 0.7500
Ge 0.0964 0.7083 0.7500
Ge 0.2917 0.3882 0.7500
Ge 0.3882 0.0964 0.2500
Ge 0.6118 0.9036 0.7500
Ge 0.7083 0.6118 0.2500
Ge 0.9036 0.2917 0.2500
Cl 0.0092 0.8060 0.7500
Cl 0.0261 0.4754 0.2500
Cl 0.1940 0.2032 0.7500
Cl 0.2032 0.0092 0.2500
Cl 0.2038 0.7509 0.5249
Cl 0.2038 0.7509 0.9751
Cl 0.2491 0.4529 0.5249
Cl 0.2491 0.4529 0.9751
Cl 0.4493 0.9739 0.2500
Cl 0.4529 0.2038 0.0249
Cl 0.4529 0.2038 0.4751
Cl 0.4754 0.4493 0.7500
Cl 0.5246 0.5507 0.2500
Cl 0.5471 0.7962 0.5249
Cl 0.5471 0.7962 0.9751
Cl 0.5507 0.0261 0.7500
Cl 0.7509 0.5471 0.0249
Cl 0.7509 0.5471 0.4751
Cl 0.7962 0.2491 0.0249
Cl 0.7962 0.2491 0.4751
Cl 0.7968 0.9908 0.7500
Cl 0.8060 0.7968 0.2500
Cl 0.9739 0.5246 0.7500
Cl 0.9908 0.1940 0.2500

Main lines, in order of rising 2θ (15 to 90 degrees two-theta):
17.2 deg, 5.159 Å, intensity 79; 18.8 deg, 4.719 Å, intensity 100; 20.1 deg, 4.412 Å, intensity 29; 22.2 deg, 4.009 Å, intensity 24; 23.0 deg, 3.865 Å, intensity 44; 27.6 deg, 3.237 Å, intensity 27; 30.1 deg, 2.967 Å, intensity 41; 32.1 deg, 2.792 Å, intensity 32; 35.2 deg, 2.547 Å, intensity 24; 35.3 deg, 2.540 Å, intensity 39



# 3
For Mg3Ni2, the PBE geometry in Alexandria gives the computed PXRD pattern in this record (Cu Kα (λ = 1.5418 Å)).

Cell: 9.7930 6.0666 11.3444 Å, 59.63 32.31 88.07°
Positions (direct):
Mg 0.0000 0.0000 0.0000
Mg 0.0188 0.4642 0.6952
Mg 0.2500 0.2500 0.2500
Mg 0.4282 0.5548 0.7858
Mg 0.4642 0.0188 0.8218
Mg 0.5548 0.4282 0.2312
Ni 0.3238 0.7531 0.6115
Ni 0.6385 0.9384 0.9262
Ni 0.7531 0.3238 0.3116
Ni 0.9384 0.6385 0.4969

Main lines, in order of rising 2θ (15 to 90 degrees two-theta):
17.6 deg, 5.039 Å, intensity 79; 18.3 deg, 4.845 Å, intensity 49; 23.8 deg, 3.744 Å, intensity 30; 39.5 deg, 2.282 Å, intensity 100; 40.2 deg, 2.243 Å, intensity 89; 41.5 deg, 2.178 Å, intensity 61; 41.7 deg, 2.165 Å, intensity 28; 46.5 deg, 1.952 Å, intensity 43; 47.2 deg, 1.927 Å, intensity 31; 50.6 deg, 1.805 Å, intensity 17



# 4
For Sr2AcAgTe4, the PBE geometry in Alexandria gives the computed PXRD pattern in this record (Cu Kα (λ = 1.5418 Å)).

Cell: 8.0316 4.7117 8.1803 Å, 90.00 110.15 90.00°
Positions (direct):
Sr 0.0000 0.0000 0.0000
Sr 0.5000 0.5000 0.0000
Ac 0.0000 0.5000 0.5000
Ag 0.5000 0.0000 0.5000
Te 0.2513 0.0000 0.7492
Te 0.2654 0.5000 0.2672
Te 0.7346 0.5000 0.7328
Te 0.7487 0.0000 0.2508

Main lines, in order of rising 2θ (15 to 90 degrees two-theta):
26.8 deg, 3.323 Å, intensity 51; 27.0 deg, 3.306 Å, intensity 100; 38.2 deg, 2.359 Å, intensity 60; 38.7 deg, 2.327 Å, intensity 38; 38.8 deg, 2.320 Å, intensity 18; 47.3 deg, 1.921 Å, intensity 32; 48.3 deg, 1.885 Å, intensity 10; 55.6 deg, 1.653 Å, intensity 13; 62.4 deg, 1.488 Å, intensity 18; 69.4 deg, 1.354 Å, intensity 13



# 5
For Cs2DyTiS4, the PBE geometry in Alexandria gives the computed PXRD pattern in this record (Cu Kα (λ = 1.5418 Å)).

Cell: 14.8827 13.3301 8.0057 Å, 84.55 63.08 32.38°
Positions (direct):
Cs 0.0533 0.0533 0.6967
Cs 0.3033 0.3033 0.9467
Cs 0.6967 0.6967 0.0533
Cs 0.9467 0.9467 0.3033
Dy 0.1250 0.1250 0.1250
Dy 0.8750 0.8750 0.8750
Ti 0.3750 0.3750 0.3750
Ti 0.6250 0.6250 0.6250
S 0.0111 0.6398 0.5501
S 0.2991 0.5501 0.6398
S 0.3602 0.9889 0.7009
S 0.4499 0.7009 0.9889
S 0.5501 0.2991 0.0111
S 0.6398 0.0111 0.2991
S 0.7009 0.4499 0.3602
S 0.9889 0.3602 0.4499

Main lines, in order of rising 2θ (15 to 90 degrees two-theta):
15.5 deg, 5.701 Å, intensity 46; 22.9 deg, 3.875 Å, intensity 33; 23.2 deg, 3.839 Å, intensity 43; 23.9 deg, 3.720 Å, intensity 100; 24.2 deg, 3.672 Å, intensity 36; 28.7 deg, 3.106 Å, intensity 68; 30.6 deg, 2.922 Å, intensity 51; 35.0 deg, 2.562 Å, intensity 46; 43.0 deg, 2.101 Å, intensity 39; 46.8 deg, 1.941 Å, intensity 35